No. 1
Structure and calculated XRD peak list of VSiGe (a cell relaxed with PBE; Cu Ka).

Cell and atoms:
a = 4.694 Å, b = 4.694 Å, c = 6.509 Å
α = 90.00°, β = 90.00°, γ = 120.00°
Atoms (fractional coordinates):
1 V 0.168 0.336 0.333
2 V 0.168 0.832 0.667
3 V 0.664 0.832 0.000
4 Si 0.502 0.004 0.333
5 Si 0.502 0.498 0.667
6 Si 0.996 0.498 0.000
7 Ge 0.338 0.169 0.000
8 Ge 0.831 0.169 0.667
9 Ge 0.831 0.662 0.333

Principal peaks in the range 5 to 70 degrees two-theta, sorted by position:
| d_spacing | Position (°2θ) | I/Imax |
| --- | --- | --- |
| 3.448 | 25.84 | 23 |
| 2.541 | 35.33 | 11 |
| 2.347 | 38.35 | 15 |
| 2.208 | 40.87 | 100 |
| 2.170 | 41.63 | 36 |
| 2.033 | 44.58 | 6 |
| 1.904 | 47.78 | 62 |
| 1.593 | 57.88 | 9 |
| 1.495 | 62.07 | 4 |
| 1.483 | 62.63 | 4 |

---

No. 2
Structure and calculated XRD peak list of Hg3AsS4Cl (a cell relaxed with PBE; Cu Ka).

Cell and atoms:
a = 7.590 Å, b = 7.590 Å, c = 9.675 Å
α = 90.00°, β = 90.00°, γ = 120.00°
Atoms (fractional coordinates):
1 Hg 0.004 0.502 0.000
2 Hg 0.498 0.502 0.000
3 Hg 0.498 0.996 0.000
4 Hg 0.502 0.004 0.500
5 Hg 0.502 0.498 0.500
6 Hg 0.996 0.498 0.500
7 As 0.000 0.000 0.487
8 As 0.000 0.000 0.987
9 S 0.149 0.297 0.613
10 S 0.149 0.851 0.613
11 S 0.297 0.149 0.113
12 S 0.333 0.667 0.871
13 S 0.667 0.333 0.371
14 S 0.703 0.851 0.613
15 S 0.851 0.149 0.113
16 S 0.851 0.703 0.113
17 Cl 0.333 0.667 0.298
18 Cl 0.667 0.333 0.798

Principal peaks in the range 5 to 70 degrees two-theta, sorted by position:
| d_spacing | Position (°2θ) | I/Imax |
| --- | --- | --- |
| 6.573 | 13.47 | 13 |
| 4.837 | 18.34 | 63 |
| 3.286 | 27.13 | 61 |
| 2.718 | 32.95 | 100 |
| 1.948 | 46.63 | 43 |
| 1.897 | 47.95 | 25 |
| 1.766 | 51.75 | 26 |
| 1.556 | 59.40 | 19 |
| 1.448 | 64.35 | 15 |
| 1.359 | 69.11 | 13 |

---

No. 3
Structure and calculated XRD peak list of Ta3WS8 (a cell relaxed with PBE; Cu Ka).

Cell and atoms:
a = 13.440 Å, b = 13.440 Å, c = 13.440 Å
α = 165.86°, β = 28.54°, γ = 155.34°
Atoms (fractional coordinates):
1 Ta 0.000 0.000 0.000
2 Ta 0.255 0.005 0.250
3 Ta 0.755 0.005 0.750
4 W 0.507 0.007 0.500
5 S 0.283 0.342 0.941
6 S 0.360 0.670 0.689
7 S 0.401 0.342 0.059
8 S 0.481 0.670 0.810
9 S 0.773 0.333 0.440
10 S 0.860 0.670 0.190
11 S 0.893 0.333 0.560
12 S 0.981 0.670 0.311

Principal peaks in the range 5 to 70 degrees two-theta, sorted by position:
| d_spacing | Position (°2θ) | I/Imax |
| --- | --- | --- |
| 6.513 | 13.60 | 100 |
| 3.256 | 27.39 | 7 |
| 2.868 | 31.19 | 26 |
| 2.624 | 34.17 | 61 |
| 2.152 | 41.98 | 50 |
| 1.731 | 52.90 | 20 |
| 1.656 | 55.50 | 14 |
| 1.605 | 57.43 | 15 |
| 1.416 | 65.98 | 7 |
| 1.400 | 66.81 | 9 |

---

No. 4
Structure and calculated XRD peak list of Er2Ni2Sn (a cell relaxed with PBE; Cu Ka).

Cell and atoms:
a = 7.257 Å, b = 7.257 Å, c = 3.667 Å
α = 90.00°, β = 90.00°, γ = 90.00°
Atoms (fractional coordinates):
1 Er 0.174 0.326 0.000
2 Er 0.326 0.826 0.000
3 Er 0.674 0.174 0.000
4 Er 0.826 0.674 0.000
5 Ni 0.121 0.621 0.500
6 Ni 0.379 0.121 0.500
7 Ni 0.621 0.879 0.500
8 Ni 0.879 0.379 0.500
9 Sn 0.000 0.000 0.500
10 Sn 0.500 0.500 0.500

Principal peaks in the range 5 to 70 degrees two-theta, sorted by position:
| d_spacing | Position (°2θ) | I/Imax |
| --- | --- | --- |
| 3.245 | 27.48 | 22 |
| 2.579 | 34.78 | 56 |
| 2.566 | 34.97 | 15 |
| 2.430 | 36.99 | 100 |
| 2.295 | 39.26 | 44 |
| 1.834 | 49.72 | 17 |
| 1.760 | 51.95 | 14 |
| 1.587 | 58.14 | 18 |
| 1.550 | 59.65 | 18 |
| 1.433 | 65.12 | 20 |

---

No. 5
Structure and calculated XRD peak list of Dy2Al3Cu (a cell relaxed with PBE; Cu Ka).

Cell and atoms:
a = 5.431 Å, b = 5.431 Å, c = 5.431 Å
α = 61.45°, β = 61.45°, γ = 61.45°
Atoms (fractional coordinates):
1 Dy 0.124 0.124 0.124
2 Dy 0.876 0.876 0.876
3 Al 0.000 0.500 0.500
4 Al 0.500 0.000 0.500
5 Al 0.500 0.500 0.000
6 Cu 0.500 0.500 0.500

Principal peaks in the range 5 to 70 degrees two-theta, sorted by position:
| d_spacing | Position (°2θ) | I/Imax |
| --- | --- | --- |
| 4.514 | 19.67 | 44 |
| 4.385 | 20.25 | 34 |
| 2.775 | 32.26 | 100 |
| 2.714 | 33.00 | 55 |
| 2.364 | 38.07 | 28 |
| 2.345 | 38.39 | 95 |
| 2.308 | 39.03 | 50 |
| 1.590 | 58.00 | 23 |
| 1.505 | 61.64 | 23 |
| 1.495 | 62.09 | 25 |

---

No. 6
Structure and calculated XRD peak list of Mg14ZnGa (a cell relaxed with PBE; Cu Ka).

Cell and atoms:
a = 6.276 Å, b = 6.276 Å, c = 10.262 Å
α = 90.00°, β = 90.00°, γ = 120.00°
Atoms (fractional coordinates):
1 Mg 0.000 0.000 0.249
2 Mg 0.000 0.000 0.751
3 Mg 0.005 0.503 0.249
4 Mg 0.005 0.503 0.751
5 Mg 0.333 0.166 0.000
6 Mg 0.334 0.167 0.500
7 Mg 0.497 0.503 0.249
8 Mg 0.497 0.503 0.751
9 Mg 0.497 0.995 0.249
10 Mg 0.497 0.995 0.751
11 Mg 0.833 0.167 0.500
12 Mg 0.833 0.666 0.500
13 Mg 0.834 0.166 0.000
14 Mg 0.834 0.667 0.000
15 Zn 0.333 0.667 0.000
16 Ga 0.333 0.667 0.500

Principal peaks in the range 5 to 70 degrees two-theta, sorted by position:
| d_spacing | Position (°2θ) | I/Imax |
| --- | --- | --- |
| 5.435 | 16.31 | 18 |
| 3.731 | 23.85 | 13 |
| 2.717 | 32.96 | 26 |
| 2.677 | 33.47 | 6 |
| 2.566 | 34.97 | 27 |
| 2.401 | 37.45 | 100 |
| 1.907 | 47.69 | 5 |
| 1.866 | 48.82 | 17 |
| 1.569 | 58.86 | 17 |
| 1.447 | 64.36 | 21 |